# 1
This entry pairs a crystal structure of SrTi4Bi4O15 with its simulated powder XRD pattern. Radiation: Cu Kα X-rays. Structure: the GGA-PBE geometry in the Materials Project.

Most intense lines, 2θ = 15–90°, by angle:
| d (Å) | Position (°2θ) | Rel. int. |
| --- | --- | --- |
| 3.891 | 22.86 | 20 |
| 3.256 | 27.39 | 22 |
| 2.973 | 30.06 | 100 |
| 2.778 | 32.22 | 23 |
| 2.750 | 32.57 | 22 |
| 2.288 | 39.38 | 18 |
| 1.954 | 46.47 | 23 |
| 1.627 | 56.56 | 18 |

Cell and atoms:
```
data_SrTi4Bi4O15
_chemical_formula_sum 'Sr4 Ti16 Bi16 O60'
_cell_length_a 41.2098
_cell_length_b 5.4988
_cell_length_c 5.5562
_cell_angle_alpha 90.00
_cell_angle_beta 90.00
_cell_angle_gamma 90.00
_symmetry_space_group_name_H-M 'C m c 21'
_symmetry_Int_Tables_number 36
_symmetry_space_group_name_Hall 'C 2c -2'
loop_
_atom_site_label
_atom_site_fract_x
_atom_site_fract_y
_atom_site_fract_z
Sr1 0.0000 0.2422 0.0000
Ti1 0.0480 0.2524 0.4916
Ti2 0.1522 0.2513 0.4902
Bi1 0.1028 0.2435 0.0429
Bi2 0.2192 0.2793 0.0274
O1 0.0000 0.3002 0.4564
O2 0.0428 0.0315 0.7357
O3 0.0537 0.4617 0.1697
O4 0.0955 0.1885 0.4431
O5 0.1383 0.4869 0.7330
O6 0.1484 0.0299 0.1910
O7 0.1946 0.3118 0.4758
O8 0.2489 0.0055 0.2607
```



# 2
This entry pairs a crystal structure of Sr2TiBiO6 with its simulated powder XRD pattern. Radiation: Cu Kα X-rays. Structure: the GGA-PBE geometry in the Materials Project.

Most intense lines, 2θ = 15–90°, by angle:
| d (Å) | Position (°2θ) | Rel. int. |
| --- | --- | --- |
| 4.804 | 18.47 | 29 |
| 2.942 | 30.38 | 100 |
| 2.509 | 35.79 | 22 |
| 2.080 | 43.50 | 32 |
| 1.699 | 53.99 | 40 |
| 1.471 | 63.21 | 20 |
| 1.316 | 71.74 | 18 |
| 1.112 | 87.78 | 22 |

Cell and atoms:
```
data_Sr2TiBiO6
_chemical_formula_sum 'Sr8 Ti4 Bi4 O24'
_cell_length_a 8.3211
_cell_length_b 8.3211
_cell_length_c 8.3211
_cell_angle_alpha 90.00
_cell_angle_beta 90.00
_cell_angle_gamma 90.00
_symmetry_space_group_name_H-M 'F m -3 m'
_symmetry_Int_Tables_number 225
_symmetry_space_group_name_Hall '-F 4 2 3'
loop_
_atom_site_label
_atom_site_fract_x
_atom_site_fract_y
_atom_site_fract_z
Sr1 0.2500 0.2500 0.2500
Ti1 0.0000 0.0000 0.0000
Bi1 0.0000 0.0000 0.5000
O1 0.0000 0.0000 0.2359
```